Computed powder diffractogram of Ba3NiSb2O9 for Cu Kα, 1.54184 Å, from a GGA+U-relaxed structure.

Peak list (10 most intense, 2θ from 15° to 90°, in order of rising 2θ)
d 3.507, rel. 27
d 2.955, rel. 72
d 2.938, rel. 100
d 2.252, rel. 18
d 2.083, rel. 40
d 1.699, rel. 29
d 1.696, rel. 20
d 1.469, rel. 19
d 1.315, rel. 12
d 1.111, rel. 18

Structural model:
Lattice parameters (Å, degrees): 5.876 5.876 14.520 90.00 90.00 120.00
Sites, in units of the cell vectors:
Ba  0.000  0.000  0.000
Ba  0.000  0.000  0.500
Ba  0.333  0.667  0.166
Ba  0.333  0.667  0.862
Ba  0.667  0.333  0.362
Ba  0.667  0.333  0.666
Ni  0.333  0.667  0.406
Ni  0.667  0.333  0.906
Sb  0.000  0.000  0.258
Sb  0.000  0.000  0.758
Sb  0.333  0.667  0.593
Sb  0.667  0.333  0.093
O  0.023  0.511  0.509
O  0.161  0.323  0.332
O  0.161  0.839  0.332
O  0.165  0.330  0.672
O  0.165  0.835  0.672
O  0.323  0.161  0.832
O  0.330  0.165  0.172
O  0.489  0.511  0.509
O  0.489  0.977  0.509
O  0.511  0.023  0.009
O  0.511  0.489  0.009
O  0.670  0.835  0.672
O  0.677  0.839  0.332
O  0.835  0.165  0.172
O  0.835  0.670  0.172
O  0.839  0.161  0.832
O  0.839  0.677  0.832
O  0.977  0.489  0.009